Structure and simulated PXRD pattern of Sm2ZnCd3 (DFT lattice parameters and positions (PBE); λ = 1.5418 Å (Cu Kα)).

Crystal structure
a = 3.453 Å, b = 4.956 Å, c = 8.527 Å
α = 90.00°, β = 90.00°, γ = 90.00°
Sites, in units of the cell vectors:
Sm  0.000  0.000  0.000
Sm  0.000  0.500  0.484
Zn  0.500  0.000  0.324
Cd  0.500  0.000  0.651
Cd  0.500  0.500  0.163
Cd  0.500  0.500  0.823

Top 10 peaks for 10 to 90 degrees two-theta, low angle first:
d/Å, intensity
2.687, 100
2.478, 26
2.466, 51
1.820, 21
1.814, 10
1.468, 10
1.464, 10
1.461, 10
1.428, 9
1.414, 17

Structure and simulated PXRD pattern of BaSr3Ti4O12 (DFT lattice parameters and positions (PBE); λ = 1.5418 Å (Cu Kα)).

Crystal structure
a = 3.967 Å, b = 3.967 Å, c = 15.872 Å
α = 90.00°, β = 90.00°, γ = 90.00°
Sites, in units of the cell vectors:
Ba  0.000  0.000  0.000
Sr  0.000  0.000  0.252
Sr  0.000  0.000  0.500
Sr  0.000  0.000  0.748
Ti  0.500  0.500  0.129
Ti  0.500  0.500  0.376
Ti  0.500  0.500  0.624
Ti  0.500  0.500  0.871
O  0.000  0.500  0.131
O  0.000  0.500  0.376
O  0.000  0.500  0.624
O  0.000  0.500  0.869
O  0.500  0.000  0.131
O  0.500  0.000  0.376
O  0.500  0.000  0.624
O  0.500  0.000  0.869
O  0.500  0.500  0.000
O  0.500  0.500  0.252
O  0.500  0.500  0.500
O  0.500  0.500  0.748

Top 10 peaks for 10 to 90 degrees two-theta, low angle first:
d/Å, intensity
3.967, 7
2.805, 100
2.290, 22
1.984, 39
1.774, 5
1.620, 38
1.403, 22
1.255, 16
1.196, 7
1.145, 7

Structure and simulated PXRD pattern of YScGe2 (DFT lattice parameters and positions (PBE); λ = 1.5418 Å (Cu Kα)).

Crystal structure
a = 3.879 Å, b = 5.630 Å, c = 7.760 Å
α = 90.00°, β = 90.00°, γ = 90.00°
Sites, in units of the cell vectors:
Y  0.000  0.130  0.000
Y  0.000  0.870  0.500
Sc  0.500  0.371  0.638
Sc  0.500  0.629  0.138
Ge  0.000  0.399  0.361
Ge  0.000  0.601  0.861
Ge  0.500  0.104  0.277
Ge  0.500  0.896  0.777

Top 10 peaks for 10 to 90 degrees two-theta, low angle first:
d/Å, intensity
4.557, 26
2.954, 27
2.743, 79
2.646, 57
2.466, 97
2.351, 39
2.186, 100
1.939, 37
1.834, 28
1.564, 21

Structure and simulated PXRD pattern of Na3YEr3Te8 (DFT lattice parameters and positions (PBE); λ = 1.5418 Å (Cu Kα)).

Crystal structure
a = 9.177 Å, b = 9.177 Å, c = 9.177 Å
α = 56.41°, β = 56.41°, γ = 56.41°
Sites, in units of the cell vectors:
Na  0.000  0.500  0.500
Na  0.500  0.000  0.500
Na  0.500  0.500  0.000
Y  0.500  0.500  0.500
Er  0.000  0.000  0.500
Er  0.000  0.500  0.000
Er  0.500  0.000  0.000
Te  0.239  0.746  0.746
Te  0.244  0.244  0.244
Te  0.254  0.254  0.761
Te  0.254  0.761  0.254
Te  0.746  0.239  0.746
Te  0.746  0.746  0.239
Te  0.756  0.756  0.756
Te  0.761  0.254  0.254

Top 10 peaks for 10 to 90 degrees two-theta, low angle first:
d/Å, intensity
7.690, 39
3.707, 13
3.147, 100
2.477, 12
2.287, 39
2.168, 36
1.786, 19
1.574, 12
1.439, 17
1.378, 16